No. 1
For Y2CoF, the GGA+U geometry in Alexandria gives the computed X-ray diffraction stick pattern in this record (a wavelength of 1.5418 Å).
Lines closer than 0.1° are merged.

Peak list (10 most intense, 10° ≤ 2θ ≤ 90°, in order of rising 2θ)
| 2θ/deg | I (rel.) |
| --- | --- |
| 27.44 | 100 |
| 32.42 | 7 |
| 45.10 | 43 |
| 46.50 | 19 |
| 52.35 | 16 |
| 54.84 | 25 |
| 67.87 | 5 |
| 72.59 | 11 |
| 82.24 | 6 |
| 85.27 | 11 |

Cell and atoms:
Unit cell a=7.0446 b=7.0446 c=7.0446 alpha=133.84 beta=133.84 gamma=67.34
Element x y z (fractional)
Y1 0.1043 0.6250 0.9793
Y2 0.3750 0.3543 0.4793
Y3 0.6457 0.1250 0.0207
Y4 0.8750 0.8957 0.5207
Co1 0.2500 0.7500 0.5000
Co2 0.5000 0.5000 0.0000
F1 0.0000 0.0000 0.0000
F2 0.7500 0.2500 0.5000

***

No. 2
For Zr3CoF6, the GGA+U geometry in Alexandria gives the computed X-ray diffraction stick pattern in this record (a wavelength of 1.5418 Å).
Lines closer than 0.1° are merged.

Peak list (10 most intense, 10° ≤ 2θ ≤ 90°, in order of rising 2θ)
| 2θ/deg | I (rel.) |
| --- | --- |
| 16.93 | 83 |
| 27.89 | 51 |
| 34.25 | 100 |
| 35.79 | 54 |
| 40.95 | 24 |
| 44.85 | 37 |
| 53.32 | 33 |
| 53.64 | 21 |
| 57.52 | 21 |
| 57.62 | 24 |

Cell and atoms:
Unit cell a=5.3568 b=5.3568 c=5.3568 alpha=97.97 beta=97.97 gamma=97.97
Element x y z (fractional)
Zr1 0.0000 0.5000 0.5000
Zr2 0.5000 0.0000 0.5000
Zr3 0.5000 0.5000 0.0000
Co1 0.5000 0.5000 0.5000
F1 0.1077 0.3720 0.8547
F2 0.1453 0.8923 0.6280
F3 0.3720 0.8547 0.1077
F4 0.6280 0.1453 0.8923
F5 0.8547 0.1077 0.3720
F6 0.8923 0.6280 0.1453